Diffraction record for Sn2AuBr8. The powder diffraction line list is computed, not measured: it uses the GGA-PBE geometry in Alexandria and a wavelength of 1.5418 Å.
Lines closer than 0.1° are merged.

Largest 8 diffraction maxima, by intensity, 10° ≤ 2θ ≤ 90°:
| d/Å | I_rel |
| --- | --- |
| 7.739 | 100 |
| 3.504 | 89 |
| 5.160 | 74 |
| 4.758 | 43 |
| 2.164 | 37 |
| 2.585 | 36 |
| 4.682 | 32 |
| 2.735 | 31 |

Atomic structure:
Cell: 8.2047 8.2047 7.3276 Å, 94.74 94.74 70.88°
Fractional positions:
1 Sn 0.2032 0.2032 0.1748
2 Sn 0.7968 0.7968 0.8252
3 Au 0.0000 0.0000 0.5000
4 Br 0.0887 0.6801 0.6661
5 Br 0.1451 0.1451 0.8258
6 Br 0.3199 0.9113 0.3339
7 Br 0.3915 0.3915 0.2727
8 Br 0.6085 0.6085 0.7273
9 Br 0.6801 0.0887 0.6661
10 Br 0.8549 0.8549 0.1742
11 Br 0.9113 0.3199 0.3339